(1)
Simulated XRD peak list
Compound: AlPH4O6
Radiation: Cu Kα X-rays
Structure: a cell relaxed with PBE
Neutral-atom scattering factors, no anomalous dispersion.

Structure:
abc: 5.211 9.610 9.987
angles: 90.00 121.11 90.00
Element x y z (fractional)
Al: 0.096 0.175 0.193
Al: 0.096 0.325 0.693
Al: 0.904 0.675 0.307
Al: 0.904 0.825 0.807
P: 0.275 0.647 0.684
P: 0.275 0.853 0.184
P: 0.725 0.147 0.816
P: 0.725 0.353 0.316
H: 0.123 0.043 0.782
H: 0.123 0.457 0.282
H: 0.245 0.172 0.486
H: 0.245 0.328 0.986
H: 0.404 0.560 0.331
H: 0.404 0.940 0.831
H: 0.462 0.647 0.020
H: 0.462 0.853 0.520
H: 0.538 0.147 0.480
H: 0.538 0.353 0.980
H: 0.596 0.060 0.169
H: 0.596 0.440 0.669
H: 0.755 0.672 0.014
H: 0.755 0.828 0.514
H: 0.877 0.543 0.718
H: 0.877 0.957 0.218
O: 0.104 0.677 0.772
O: 0.104 0.823 0.272
O: 0.109 0.717 0.522
O: 0.109 0.783 0.022
O: 0.207 0.552 0.325
O: 0.207 0.948 0.825
O: 0.291 0.014 0.173
O: 0.291 0.486 0.673
O: 0.319 0.136 0.420
O: 0.319 0.364 0.920
O: 0.405 0.206 0.719
O: 0.405 0.294 0.219
O: 0.595 0.706 0.781
O: 0.595 0.794 0.281
O: 0.681 0.636 0.080
O: 0.681 0.864 0.580
O: 0.709 0.514 0.327
O: 0.709 0.986 0.827
O: 0.793 0.052 0.175
O: 0.793 0.448 0.675
O: 0.891 0.217 0.978
O: 0.891 0.283 0.478
O: 0.896 0.177 0.728
O: 0.896 0.323 0.228

Main lines, by angle (10 to 90 degrees two-theta):
d/Å  2θ/deg  Rel. int.
6.388  13.86  393
4.805  18.47  375
4.581  19.38  814
4.275  20.78  993
3.532  25.21  498
2.730  32.80  1000
2.514  35.71  161
1.968  46.13  215

(2)
Simulated XRD peak list
Compound: KCuBi2S4
Radiation: Cu Kα X-rays
Structure: a cell relaxed with PBE
Neutral-atom scattering factors, no anomalous dispersion.

Structure:
abc: 7.261 7.261 14.445
angles: 90.00 90.00 147.65
Element x y z (fractional)
K: 0.112 0.888 0.500
K: 0.888 0.112 0.000
Cu: 0.147 0.853 0.969
Cu: 0.853 0.147 0.469
Bi: 0.349 0.651 0.289
Bi: 0.382 0.618 0.673
Bi: 0.618 0.382 0.173
Bi: 0.651 0.349 0.789
S: 0.017 0.983 0.719
S: 0.252 0.748 0.127
S: 0.268 0.732 0.855
S: 0.429 0.571 0.492
S: 0.571 0.429 0.992
S: 0.732 0.268 0.355
S: 0.748 0.252 0.627
S: 0.983 0.017 0.219

Main lines, by angle (10 to 90 degrees two-theta):
d/Å  2θ/deg  Rel. int.
7.222  12.26  692
6.280  14.10  913
3.962  22.44  764
3.421  26.04  548
3.023  29.54  506
2.811  31.83  1000
2.669  33.58  647
2.073  43.67  531

(3)
Simulated XRD peak list
Compound: Al3Ru2
Radiation: Cu Kα X-rays
Structure: a cell relaxed with PBE
Neutral-atom scattering factors, no anomalous dispersion.

Structure:
abc: 4.213 4.213 5.110
angles: 90.00 90.00 120.00
Element x y z (fractional)
Al: 0.000 0.000 0.000
Al: 0.333 0.667 0.357
Al: 0.667 0.333 0.643
Ru: 0.333 0.667 0.847
Ru: 0.667 0.333 0.153

Main lines, by angle (10 to 90 degrees two-theta):
d/Å  2θ/deg  Rel. int.
5.110  17.35  440
3.648  24.40  503
2.969  30.10  673
2.106  42.94  838
2.093  43.23  1000
1.947  46.64  198
1.485  62.57  326
1.213  78.88  330

(4)
Simulated XRD peak list
Compound: ZrAlCr
Radiation: Cu Kα X-rays
Structure: a cell relaxed with PBE
Neutral-atom scattering factors, no anomalous dispersion.

Structure:
abc: 8.604 5.148 5.148
angles: 60.35 90.00 90.00
Element x y z (fractional)
Zr: 0.179 0.000 0.000
Zr: 0.310 0.665 0.665
Zr: 0.690 0.665 0.665
Zr: 0.821 0.000 0.000
Al: 0.240 0.325 0.325
Al: 0.500 0.164 0.672
Al: 0.500 0.672 0.164
Al: 0.760 0.325 0.325
Cr: 0.000 0.506 0.506
Cr: 0.000 0.508 0.970
Cr: 0.000 0.970 0.508
Cr: 0.500 0.163 0.163

Main lines, by angle (10 to 90 degrees two-theta):
d/Å  2θ/deg  Rel. int.
2.588  34.66  189
2.574  34.85  271
2.413  37.26  1000
2.217  40.69  217
2.209  40.85  563
2.165  41.72  409
2.154  41.95  258
1.364  68.82  199